(1)
# Cs2Cu5Se4
Calculated powder XRD pattern, Cu Kα. Input: a DFT-relaxed cell (GGA-PBE, Alexandria).

Most intense lines, 10 to 90 degrees two-theta, sorted by position:
2θ 26.7, I = 71.7; 2θ 27.1, I = 38.4; 2θ 29.3, I = 100.0; 2θ 34.6, I = 31.8; 2θ 45.2, I = 39.0; 2θ 48.8, I = 54.1

Atomic structure:
```
data_Cs2Cu5Se4
_cell_length_a 10.0818
_cell_length_b 10.0818
_cell_length_c 13.3381
_cell_angle_alpha 90.00
_cell_angle_beta 90.00
_cell_angle_gamma 157.02
_space_group_name_H-M_alt 'P 1'
_space_group_IT_number 1
loop_
_space_group_symop_operation_xyz
'x,y,z'
loop_
_atom_site_label
_atom_site_type_symbol
_atom_site_fract_x
_atom_site_fract_y
_atom_site_fract_z
Cs1 Cs 0.0000 0.0000 0.0000
Cs2 Cs 0.0000 0.0000 0.5000
Cs3 Cs 0.1411 0.8589 0.7500
Cs4 Cs 0.8589 0.1411 0.2500
Cu1 Cu 0.0867 0.9133 0.2500
Cu2 Cu 0.2157 0.7843 0.0402
Cu3 Cu 0.2157 0.7843 0.4598
Cu4 Cu 0.3492 0.6508 0.6580
Cu5 Cu 0.3492 0.6508 0.8420
Cu6 Cu 0.6508 0.3492 0.1580
Cu7 Cu 0.6508 0.3492 0.3420
Cu8 Cu 0.7843 0.2157 0.5402
Cu9 Cu 0.7843 0.2157 0.9598
Cu10 Cu 0.9133 0.0867 0.7500
Se1 Se 0.2083 0.7917 0.2500
Se2 Se 0.3422 0.6578 0.0205
Se3 Se 0.3422 0.6578 0.4795
Se4 Se 0.4780 0.5220 0.7500
Se5 Se 0.5220 0.4780 0.2500
Se6 Se 0.6578 0.3422 0.5205
Se7 Se 0.6578 0.3422 0.9795
Se8 Se 0.7917 0.2083 0.7500
```

(2)
# Cs2TaCuSe4
Calculated powder XRD pattern, Cu Kα. Input: a DFT-relaxed cell (GGA-PBE, Alexandria).

Most intense lines, 10 to 90 degrees two-theta, sorted by position:
2θ 13.6, I = 74.4; 2θ 23.7, I = 76.9; 2θ 25.6, I = 100.0; 2θ 29.1, I = 30.1; 2θ 37.2, I = 36.2; 2θ 47.9, I = 29.4

Atomic structure:
```
data_Cs2TaCuSe4
_cell_length_a 15.0288
_cell_length_b 13.3279
_cell_length_c 8.0699
_cell_angle_alpha 85.50
_cell_angle_beta 62.14
_cell_angle_gamma 32.36
_space_group_name_H-M_alt 'P 1'
_space_group_IT_number 1
loop_
_space_group_symop_operation_xyz
'x,y,z'
loop_
_atom_site_label
_atom_site_type_symbol
_atom_site_fract_x
_atom_site_fract_y
_atom_site_fract_z
Cs1 Cs 0.0525 0.0525 0.6975
Cs2 Cs 0.3025 0.3025 0.9475
Cs3 Cs 0.6975 0.6975 0.0525
Cs4 Cs 0.9475 0.9475 0.3025
Ta1 Ta 0.3750 0.3750 0.3750
Ta2 Ta 0.6250 0.6250 0.6250
Cu1 Cu 0.1250 0.1250 0.1250
Cu2 Cu 0.8750 0.8750 0.8750
Se1 Se 0.0159 0.3402 0.4216
Se2 Se 0.2776 0.5784 0.6598
Se3 Se 0.3402 0.0159 0.7224
Se4 Se 0.4216 0.7224 0.0159
Se5 Se 0.5784 0.2776 0.9841
Se6 Se 0.6598 0.9841 0.2776
Se7 Se 0.7224 0.4216 0.3402
Se8 Se 0.9841 0.6598 0.5784
```

(3)
# CsCu2TeSe
Calculated powder XRD pattern, Cu Kα. Input: a DFT-relaxed cell (GGA-PBE, Alexandria).

Most intense lines, 10 to 90 degrees two-theta, sorted by position:
2θ 12.3, I = 53.0; 2θ 25.4, I = 49.0; 2θ 26.0, I = 100.0; 2θ 27.1, I = 97.7; 2θ 34.3, I = 61.7; 2θ 44.0, I = 44.1

Atomic structure:
```
data_CsCu2TeSe
_cell_length_a 7.2374
_cell_length_b 4.1195
_cell_length_c 10.1919
_cell_angle_alpha 90.00
_cell_angle_beta 95.88
_cell_angle_gamma 90.00
_space_group_name_H-M_alt 'P 1'
_space_group_IT_number 1
loop_
_space_group_symop_operation_xyz
'x,y,z'
loop_
_atom_site_label
_atom_site_type_symbol
_atom_site_fract_x
_atom_site_fract_y
_atom_site_fract_z
Cs1 Cs 0.1433 0.2500 0.2764
Cs2 Cs 0.8567 0.7500 0.7236
Cu1 Cu 0.3546 0.7500 0.7795
Cu2 Cu 0.4027 0.2500 0.9261
Cu3 Cu 0.5973 0.7500 0.0739
Cu4 Cu 0.6454 0.2500 0.2205
Te1 Te 0.3843 0.2500 0.6394
Te2 Te 0.6157 0.7500 0.3606
Se1 Se 0.2509 0.7500 0.9932
Se2 Se 0.7491 0.2500 0.0068
```

(4)
# CsTiCuSe3
Calculated powder XRD pattern, Cu Kα. Input: a DFT-relaxed cell (GGA-PBE, Alexandria).

Most intense lines, 10 to 90 degrees two-theta, sorted by position:
2θ 10.8, I = 51.5; 2θ 29.3, I = 54.4; 2θ 30.3, I = 100.0; 2θ 36.2, I = 37.7; 2θ 47.4, I = 32.7; 2θ 52.2, I = 56.3

Atomic structure:
```
data_CsTiCuSe3
_cell_length_a 9.1965
_cell_length_b 3.8390
_cell_length_c 10.1133
_cell_angle_alpha 90.00
_cell_angle_beta 117.02
_cell_angle_gamma 90.00
_space_group_name_H-M_alt 'P 1'
_space_group_IT_number 1
loop_
_space_group_symop_operation_xyz
'x,y,z'
loop_
_atom_site_label
_atom_site_type_symbol
_atom_site_fract_x
_atom_site_fract_y
_atom_site_fract_z
Cs1 Cs 0.0186 0.2500 0.2619
Cs2 Cs 0.9814 0.7500 0.7381
Ti1 Ti 0.4725 0.2500 0.1638
Ti2 Ti 0.5275 0.7500 0.8362
Cu1 Cu 0.4787 0.7500 0.3968
Cu2 Cu 0.5213 0.2500 0.6032
Se1 Se 0.2703 0.7500 0.1425
Se2 Se 0.3375 0.7500 0.5624
Se3 Se 0.3499 0.2500 0.8695
Se4 Se 0.6501 0.7500 0.1305
Se5 Se 0.6625 0.2500 0.4376
Se6 Se 0.7297 0.2500 0.8575
```

(5)
# Cs2TiCu2Se4
Calculated powder XRD pattern, Cu Kα. Input: a DFT-relaxed cell (GGA-PBE, Alexandria).

Most intense lines, 10 to 90 degrees two-theta, sorted by position:
2θ 28.2, I = 100.0; 2θ 30.2, I = 19.1; 2θ 32.7, I = 23.1; 2θ 43.2, I = 26.8; 2θ 48.5, I = 36.8; 2θ 52.4, I = 33.6

Atomic structure:
```
data_Cs2TiCu2Se4
_cell_length_a 5.9207
_cell_length_b 5.9207
_cell_length_c 14.5466
_cell_angle_alpha 90.00
_cell_angle_beta 90.00
_cell_angle_gamma 90.00
_space_group_name_H-M_alt 'P 1'
_space_group_IT_number 1
loop_
_space_group_symop_operation_xyz
'x,y,z'
loop_
_atom_site_label
_atom_site_type_symbol
_atom_site_fract_x
_atom_site_fract_y
_atom_site_fract_z
Cs1 Cs 0.2425 0.2425 0.0000
Cs2 Cs 0.2425 0.7575 0.5000
Cs3 Cs 0.7575 0.2425 0.5000
Cs4 Cs 0.7575 0.7575 0.0000
Ti1 Ti 0.5000 0.5000 0.2500
Ti2 Ti 0.5000 0.5000 0.7500
Cu1 Cu 0.0000 0.5000 0.2500
Cu2 Cu 0.0000 0.5000 0.7500
Cu3 Cu 0.5000 0.0000 0.2500
Cu4 Cu 0.5000 0.0000 0.7500
Se1 Se 0.2602 0.2602 0.3431
Se2 Se 0.2602 0.2602 0.6569
Se3 Se 0.2602 0.7398 0.1569
Se4 Se 0.2602 0.7398 0.8431
Se5 Se 0.7398 0.2602 0.1569
Se6 Se 0.7398 0.2602 0.8431
Se7 Se 0.7398 0.7398 0.3431
Se8 Se 0.7398 0.7398 0.6569
```

(6)
# CsCuSnTe2
Calculated powder XRD pattern, Cu Kα. Input: a DFT-relaxed cell (GGA-PBE, Alexandria).

Most intense lines, 10 to 90 degrees two-theta, sorted by position:
2θ 23.4, I = 26.0; 2θ 24.3, I = 100.0; 2θ 32.8, I = 23.7; 2θ 35.1, I = 26.6; 2θ 36.2, I = 28.6; 2θ 41.7, I = 23.5

Atomic structure:
```
data_CsCuSnTe2
_cell_length_a 9.0157
_cell_length_b 9.0157
_cell_length_c 6.5427
_cell_angle_alpha 90.00
_cell_angle_beta 90.00
_cell_angle_gamma 130.16
_space_group_name_H-M_alt 'P 1'
_space_group_IT_number 1
loop_
_space_group_symop_operation_xyz
'x,y,z'
loop_
_atom_site_label
_atom_site_type_symbol
_atom_site_fract_x
_atom_site_fract_y
_atom_site_fract_z
Cs1 Cs 0.2500 0.7500 0.7505
Cs2 Cs 0.7500 0.2500 0.2495
Cu1 Cu 0.0000 0.0000 0.0000
Cu2 Cu 0.5000 0.5000 0.0000
Sn1 Sn 0.2500 0.2500 0.5000
Sn2 Sn 0.7500 0.7500 0.5000
Te1 Te 0.1148 0.8852 0.2430
Te2 Te 0.3852 0.6148 0.2430
Te3 Te 0.6148 0.3852 0.7570
Te4 Te 0.8852 0.1148 0.7570
```